No. 1
Calculated powder diffractogram
Compound: Mg14VSn
Radiation: Cu Kα (λ = 1.5418 Å)
Structure: a DFT-relaxed cell (PBE, the Materials Project)
Intensities are scaled so that the largest is 100.

Largest 10 diffraction maxima, in order of falling intensity, 10 to 90 degrees two-theta:
two_theta  I/Imax
37.3  100
34.6  27
32.9  27
16.3  27
23.7  21
63.7  21
69.9  19
48.4  18
58.7  17
71.6  14

```
Mg14VSn
1.0
6.291 0.000 0.000
-3.145 5.448 0.000
0.000 0.000 10.381
Mg V Sn
14 1 1
Direct
0.000 0.000 0.249
0.000 0.000 0.751
0.004 0.502 0.245
0.004 0.502 0.755
0.332 0.166 0.500
0.334 0.167 0.000
0.498 0.502 0.245
0.498 0.502 0.755
0.498 0.996 0.245
0.498 0.996 0.755
0.833 0.167 0.000
0.833 0.666 0.000
0.834 0.166 0.500
0.834 0.668 0.500
0.333 0.667 0.000
0.333 0.667 0.500
```

No. 2
Calculated powder diffractogram
Compound: Mg6VSn
Radiation: Cu Kα (λ = 1.5418 Å)
Structure: a DFT-relaxed cell (PBE, the Materials Project)
Intensities are scaled so that the largest is 100.

Largest 10 diffraction maxima, in order of falling intensity, 10 to 90 degrees two-theta:
two_theta  I/Imax
37.4  100
16.2  61
37.8  52
35.7  38
32.7  30
24.0  28
33.7  24
24.2  23
70.9  19
65.3  19

```
Mg6VSn
1.0
5.026 0.000 0.000
0.000 3.183 5.399
0.000 -3.183 5.399
Mg V Sn
6 1 1
Direct
0.000 0.000 0.000
0.000 0.503 0.992
0.000 0.992 0.503
0.500 0.162 0.667
0.500 0.167 0.167
0.500 0.667 0.162
0.500 0.665 0.665
0.000 0.505 0.505
```

No. 3
Calculated powder diffractogram
Compound: Mg14VSn
Radiation: Cu Kα (λ = 1.5418 Å)
Structure: a DFT-relaxed cell (PBE, the Materials Project)
Intensities are scaled so that the largest is 100.

Largest 10 diffraction maxima, in order of falling intensity, 10 to 90 degrees two-theta:
two_theta  I/Imax
37.4  100
37.0  52
34.7  41
33.0  27
64.0  20
18.3  20
69.7  20
48.6  18
58.4  17
71.9  14

```
Mg14VSn
1.0
10.345 0.000 0.000
0.000 3.120 5.500
0.000 -3.120 5.500
Mg V Sn
14 1 1
Direct
0.000 0.000 0.000
0.000 0.000 0.500
0.000 0.500 0.000
0.000 0.500 0.500
0.248 0.167 0.167
0.251 0.665 0.665
0.252 0.170 0.664
0.252 0.664 0.170
0.500 0.500 0.999
0.500 0.999 0.500
0.748 0.170 0.664
0.748 0.664 0.170
0.749 0.665 0.665
0.752 0.167 0.167
0.500 0.500 0.500
0.500 0.000 0.000
```